# NaCaDyMnO6
Computed PXRD pattern, Cu Kα, 1.54184 Å. Input: a DFT-relaxed cell (GGA+U, the Materials Project).
Kinematic intensities with the Lorentz-polarization factor, no thermal factor.

Cell and atoms:
Cell lengths 5.761, 5.761, 5.761 Å; angles 60.00, 60.00, 60.00 degrees
Fractional positions:
Na (0.000, 0.000, 0.000)
Ca (0.500, 0.500, 0.500)
Dy (0.750, 0.750, 0.750)
Mn (0.250, 0.250, 0.250)
O (0.019, 0.019, 0.481)
O (0.019, 0.481, 0.019)
O (0.019, 0.481, 0.481)
O (0.481, 0.019, 0.019)
O (0.481, 0.019, 0.481)
O (0.481, 0.481, 0.019)

Peak list (8 most intense, 15 to 90 degrees two-theta, in order of rising 2θ)
18.9 deg, I = 29.4; 21.8 deg, I = 66.3; 31.0 deg, I = 100.0; 36.6 deg, I = 24.2; 44.5 deg, I = 40.0; 50.1 deg, I = 26.2; 55.2 deg, I = 38.1; 64.7 deg, I = 22.8

***

# ZnFeO2F5
Computed PXRD pattern, Cu Kα, 1.54184 Å. Input: a DFT-relaxed cell (GGA+U, the Materials Project).
Kinematic intensities with the Lorentz-polarization factor, no thermal factor.

Cell and atoms:
Cell lengths 7.368, 7.368, 7.368 Å; angles 117.84, 80.71, 133.98 degrees
Fractional positions:
Zn (0.000, 0.000, 0.000)
Zn (0.500, 0.000, 0.500)
Fe (0.500, 0.000, 0.000)
Fe (0.500, 0.500, 0.500)
O (0.048, 0.583, 0.465)
O (0.383, 0.417, 0.965)
O (0.617, 0.583, 0.035)
O (0.952, 0.417, 0.535)
F (0.156, 0.212, 0.307)
F (0.156, 0.848, 0.944)
F (0.383, 0.633, 0.750)
F (0.404, 0.212, 0.556)
F (0.404, 0.848, 0.193)
F (0.596, 0.152, 0.807)
F (0.596, 0.788, 0.444)
F (0.617, 0.367, 0.250)
F (0.844, 0.152, 0.056)
F (0.844, 0.788, 0.693)

Peak list (8 most intense, 15 to 90 degrees two-theta, in order of rising 2θ)
17.3 deg, I = 89.3; 19.3 deg, I = 35.4; 25.1 deg, I = 34.2; 28.4 deg, I = 100.0; 29.2 deg, I = 21.7; 35.0 deg, I = 47.7; 51.1 deg, I = 17.7; 51.4 deg, I = 46.0